Record 1
Computed powder diffraction line list
Compound: Cs8KRb3
Radiation: Cu Kα
Structure: DFT lattice parameters and positions (GGA-PBE)
Kinematic intensities with the Lorentz-polarization factor, no thermal factor.

Cell and atoms:
```
data_Cs8KRb3
_space_group_name_H-M_alt 'P -3 1 m'
_space_group_IT_number 162
_space_group_name_Hall '-P 3 2'
_cell_length_a 9.2119
_cell_length_b 9.2119
_cell_length_c 17.2413
_cell_angle_alpha 90.00
_cell_angle_beta 90.00
_cell_angle_gamma 120.00
loop_
_atom_site_label
_atom_site_fract_x
_atom_site_fract_y
_atom_site_fract_z
Cs1 0.0000 0.3273 0.2462
Cs2 0.3333 0.6667 0.5000
K1 0.0000 0.0000 0.5000
Rb1 0.0000 0.0000 0.0000
Rb2 0.3333 0.6667 0.0000
```

Main lines, low angle first (10 to 90 degrees two-theta):
(hkl)  d [Å]  I/Imax
1 1 1  4.450  63
0 0 4  4.310  38
2 -1 2  4.062  100
2 -1 3  3.594  37
1 1 5  2.760  18
3 0 0  2.659  32
2 -1 6  2.438  26
3 0 4  2.263  40
2 2 2  2.225  19
5 -1 2  1.706  17
3 0 8  1.674  15
3 0 12  1.264  12


Record 2
Computed powder diffraction line list
Compound: CsK10Rb
Radiation: Cu Kα
Structure: DFT lattice parameters and positions (GGA-PBE)
Kinematic intensities with the Lorentz-polarization factor, no thermal factor.

Cell and atoms:
```
data_CsK10Rb
_space_group_name_H-M_alt 'P m m m'
_space_group_IT_number 47
_cell_length_a 7.526
_cell_length_b 8.723
_cell_length_c 15.264
_cell_angle_alpha 90.00
_cell_angle_beta 90.00
_cell_angle_gamma 90.00
loop_
_space_group_symop_operation_xyz
'x,y,z'
'-x,-y,-z'
'-x,-y,z'
'x,y,-z'
'x,-y,-z'
'-x,y,z'
'-x,y,-z'
'x,-y,z'
loop_
_atom_site_label
_atom_site_fract_x
_atom_site_fract_y
_atom_site_fract_z
Cs1 0.000 0.000 0.000
K1 0.000 0.000 0.337
K2 0.000 0.500 0.170
K3 0.500 0.000 0.500
K4 0.500 0.251 0.252
K5 0.500 0.500 0.000
Rb1 0.000 0.500 0.500
```

Main lines, low angle first (10 to 90 degrees two-theta):
(hkl)  d [Å]  I/Imax
1 0 2  5.345  54
0 1 3  4.395  22
0 0 4  3.816  13
1 1 3  3.793  100
2 0 0  3.769  71
2 1 3  2.858  15
1 1 5  2.687  13
2 2 2  2.670  26
1 3 3  2.393  20
0 2 6  2.197  14
0 4 0  2.179  22
2 2 6  1.898  17


Record 3
Computed powder diffraction line list
Compound: Cs2K4Rb5
Radiation: Cu Kα
Structure: DFT lattice parameters and positions (GGA-PBE)
Kinematic intensities with the Lorentz-polarization factor, no thermal factor.

Cell and atoms:
```
data_Cs2K4Rb5
_space_group_name_H-M_alt 'P 1 2/m 1'
_space_group_IT_number 10
_cell_length_a 12.277
_cell_length_b 4.818
_cell_length_c 16.665
_cell_angle_alpha 90.00
_cell_angle_beta 95.16
_cell_angle_gamma 90.00
loop_
_space_group_symop_operation_xyz
'x,y,z'
'-x,-y,-z'
'-x,y,-z'
'x,-y,z'
loop_
_atom_site_label
_atom_site_fract_x
_atom_site_fract_y
_atom_site_fract_z
Cs1 0.059 0.000 0.141
K1 0.162 0.500 0.405
K2 0.309 0.500 0.947
Rb1 0.194 0.000 0.662
Rb2 0.439 0.000 0.211
Rb3 0.500 0.000 0.500
```

Main lines, low angle first (10 to 90 degrees two-theta):
(hkl)  d [Å]  I/Imax
0 1 0  4.818  32
0 1 2  4.164  18
1 0 -4  4.042  100
1 1 -2  4.000  21
2 0 3  3.930  46
1 1 2  3.891  22
2 1 0  3.787  24
0 1 3  3.639  23
1 1 -4  3.097  37
0 2 0  2.409  18
1 0 7  2.291  20
1 2 -4  2.069  38


Record 4
Computed powder diffraction line list
Compound: CsK2Rb8Tl
Radiation: Cu Kα
Structure: DFT lattice parameters and positions (GGA-PBE)
Kinematic intensities with the Lorentz-polarization factor, no thermal factor.

Cell and atoms:
```
data_CsK2Rb8Tl
_space_group_name_H-M_alt 'P -1'
_space_group_IT_number 2
_cell_length_a 7.441
_cell_length_b 9.718
_cell_length_c 14.328
_cell_angle_alpha 90.10
_cell_angle_beta 90.02
_cell_angle_gamma 112.51
loop_
_space_group_symop_operation_xyz
'x,y,z'
'-x,-y,-z'
loop_
_atom_site_label
_atom_site_fract_x
_atom_site_fract_y
_atom_site_fract_z
Cs1 0.000 0.000 0.000
K1 0.494 0.992 0.232
Rb1 0.150 0.304 0.295
Rb2 0.152 0.303 0.703
Rb3 0.319 0.638 0.992
Rb4 0.376 0.749 0.503
Tl1 0.000 0.000 0.500
```

Main lines, low angle first (10 to 90 degrees two-theta):
(hkl)  d [Å]  I/Imax
0 0 2  7.164  17
1 0 0  6.874  21
1 -2 2  3.912  100
-1 2 2  3.906  89
2 -1 0  3.721  52
0 0 4  3.582  30
0 3 0  2.992  18
1 1 -4  2.841  14
2 -1 4  2.580  25
2 -4 0  2.332  17
3 -3 2  2.183  38
1 -2 6  2.126  14


Record 5
Computed powder diffraction line list
Compound: Cs6K3S
Radiation: Cu Kα
Structure: DFT lattice parameters and positions (GGA-PBE)
Kinematic intensities with the Lorentz-polarization factor, no thermal factor.

Cell and atoms:
```
data_Cs6K3S
_space_group_name_H-M_alt 'R -3 m'
_space_group_IT_number 166
_space_group_name_Hall '-R 3 2"'
_cell_length_a 15.3566
_cell_length_b 15.3566
_cell_length_c 25.0884
_cell_angle_alpha 90.00
_cell_angle_beta 90.00
_cell_angle_gamma 120.00
loop_
_atom_site_label
_atom_site_fract_x
_atom_site_fract_y
_atom_site_fract_z
Cs1 0.1031 0.2062 0.0768
Cs2 0.1034 0.2069 0.4194
K1 0.1061 0.2121 0.7554
S1 0.0000 0.0000 0.0000
S2 0.0000 0.0000 0.5000
```

Main lines, low angle first (10 to 90 degrees two-theta):
(hkl)  d [Å]  I/Imax
3 0 0  4.433  19
0 0 6  4.181  24
3 0 3  3.917  100
0 3 6  3.042  19
3 3 0  2.559  21
3 0 9  2.360  23
3 3 6  2.183  22
0 6 3  2.143  16
0 6 9  1.735  8
6 3 3  1.643  13
3 3 12  1.619  9
6 3 9  1.436  7


Record 6
Computed powder diffraction line list
Compound: CsKS14
Radiation: Cu Kα
Structure: DFT lattice parameters and positions (GGA-PBE)
Kinematic intensities with the Lorentz-polarization factor, no thermal factor.

Cell and atoms:
```
data_CsKS14
_space_group_name_H-M_alt 'C 1 2/c 1'
_space_group_IT_number 15
_cell_length_a 27.403
_cell_length_b 6.666
_cell_length_c 13.790
_cell_angle_alpha 90.00
_cell_angle_beta 114.71
_cell_angle_gamma 90.00
loop_
_space_group_symop_operation_xyz
'x,y,z'
'-x,-y,-z'
'-x,y,-z+1/2'
'x,-y,z+1/2'
'x+1/2,y+1/2,z'
'-x+1/2,-y+1/2,-z'
'-x+1/2,y+1/2,-z+1/2'
'x+1/2,-y+1/2,z+1/2'
loop_
_atom_site_label
_atom_site_fract_x
_atom_site_fract_y
_atom_site_fract_z
Cs1 0.000 0.013 0.250
K1 0.000 0.500 0.000
S1 0.055 0.051 0.545
S2 0.058 0.487 0.800
S3 0.135 0.069 0.601
S4 0.138 0.477 0.879
S5 0.166 0.221 0.139
S6 0.168 0.231 0.388
S7 0.214 0.227 0.301
```

Main lines, low angle first (10 to 90 degrees two-theta):
(hkl)  d [Å]  I/Imax
1 1 0  6.439  32
1 1 -1  5.996  32
3 1 1  4.409  34
1 1 2  4.265  48
6 0 0  4.149  56
5 1 -2  4.031  84
3 1 2  3.567  64
4 0 -4  3.432  99
2 0 -4  3.391  59
7 1 -2  3.342  39
2 2 0  3.219  100
9 1 2  2.099  35


Record 7
Computed powder diffraction line list
Compound: Cs4K5S
Radiation: Cu Kα
Structure: DFT lattice parameters and positions (GGA-PBE)
Kinematic intensities with the Lorentz-polarization factor, no thermal factor.

Cell and atoms:
```
data_Cs4K5S
_space_group_name_H-M_alt 'I 4/m m m'
_space_group_IT_number 139
_space_group_name_Hall '-I 4 2'
_cell_length_a 15.559
_cell_length_b 15.559
_cell_length_c 6.557
_cell_angle_alpha 90.00
_cell_angle_beta 90.00
_cell_angle_gamma 90.00
loop_
_atom_site_label
_atom_site_fract_x
_atom_site_fract_y
_atom_site_fract_z
Cs1 0.000 0.323 0.000
K1 0.000 0.000 0.000
K2 0.141 0.141 0.500
S1 0.000 0.000 0.500
```

Main lines, low angle first (10 to 90 degrees two-theta):
(hkl)  d [Å]  I/Imax
2 0 0  7.779  11
2 2 0  5.501  12
2 1 1  4.772  39
3 0 1  4.068  100
3 3 0  3.667  44
0 0 2  3.278  20
5 2 1  2.644  18
6 0 0  2.593  15
3 3 2  2.444  29
6 3 1  2.187  28
6 0 2  2.034  16
3 0 3  2.014  14


Record 8
Computed powder diffraction line list
Compound: Cs5K5S
Radiation: Cu Kα
Structure: DFT lattice parameters and positions (GGA-PBE)
Kinematic intensities with the Lorentz-polarization factor, no thermal factor.

Cell and atoms:
```
data_Cs5K5S
_space_group_name_H-M_alt 'C 1 2/m 1'
_space_group_IT_number 12
_cell_length_a 16.383
_cell_length_b 7.112
_cell_length_c 15.259
_cell_angle_alpha 90.00
_cell_angle_beta 95.99
_cell_angle_gamma 90.00
loop_
_space_group_symop_operation_xyz
'x,y,z'
'-x,-y,-z'
'-x,y,-z'
'x,-y,z'
'x+1/2,y+1/2,z'
'-x+1/2,-y+1/2,-z'
'-x+1/2,y+1/2,-z'
'x+1/2,-y+1/2,z'
loop_
_atom_site_label
_atom_site_fract_x
_atom_site_fract_y
_atom_site_fract_z
Cs1 0.000 0.000 0.000
Cs2 0.110 0.500 0.198
Cs3 0.164 0.500 0.891
K1 0.000 0.500 0.500
K2 0.087 0.000 0.663
K3 0.212 0.000 0.408
S1 0.000 0.500 0.000
```

Main lines, low angle first (10 to 90 degrees two-theta):
(hkl)  d [Å]  I/Imax
1 1 -2  5.050  9
3 1 0  4.316  13
2 0 3  4.110  10
1 1 -3  4.072  100
4 0 -2  3.756  22
0 2 0  3.556  23
2 0 4  3.310  15
4 2 -2  2.582  16
2 2 4  2.423  12
1 3 -3  2.139  17
2 2 -6  2.040  9
1 1 7  2.032  10


Record 9
Computed powder diffraction line list
Compound: Cs2KSbS4
Radiation: Cu Kα
Structure: DFT lattice parameters and positions (GGA-PBE)
Kinematic intensities with the Lorentz-polarization factor, no thermal factor.

Cell and atoms:
```
data_Cs2KSbS4
_space_group_name_H-M_alt 'F d d d'
_space_group_IT_number 70
_cell_length_a 7.193
_cell_length_b 14.240
_cell_length_c 27.184
_cell_angle_alpha 90.00
_cell_angle_beta 90.00
_cell_angle_gamma 90.00
loop_
_space_group_symop_operation_xyz
'x,y,z'
'-x,-y,-z'
'-x+1/4,-y+1/4,z'
'x+1/4,y+1/4,-z'
'x,-y+1/4,-z+1/4'
'-x,y+1/4,z+1/4'
'-x+1/4,y,-z+1/4'
'x+1/4,-y,z+1/4'
'x,y+1/2,z+1/2'
'-x,-y+1/2,-z+1/2'
'-x+1/4,-y+3/4,z+1/2'
'x+1/4,y+3/4,-z+1/2'
'x,-y+3/4,-z+3/4'
'-x,y+3/4,z+3/4'
'-x+1/4,y+1/2,-z+3/4'
'x+1/4,-y+1/2,z+3/4'
'x+1/2,y,z+1/2'
'-x+1/2,-y,-z+1/2'
'-x+3/4,-y+1/4,z+1/2'
'x+3/4,y+1/4,-z+1/2'
'x+1/2,-y+1/4,-z+3/4'
'-x+1/2,y+1/4,z+3/4'
'-x+3/4,y,-z+3/4'
'x+3/4,-y,z+3/4'
'x+1/2,y+1/2,z'
'-x+1/2,-y+1/2,-z'
'-x+3/4,-y+3/4,z'
'x+3/4,y+3/4,-z'
'x+1/2,-y+3/4,-z+1/4'
'-x+1/2,y+3/4,z+1/4'
'-x+3/4,y+1/2,-z+1/4'
'x+3/4,-y+1/2,z+1/4'
loop_
_atom_site_label
_atom_site_fract_x
_atom_site_fract_y
_atom_site_fract_z
Cs1 0.125 0.125 0.314
K1 0.125 0.125 0.125
Sb1 0.125 0.125 0.625
S1 0.056 0.273 0.826
```

Main lines, low angle first (10 to 90 degrees two-theta):
(hkl)  d [Å]  I/Imax
0 0 4  6.796  56
1 1 3  5.239  100
0 2 6  3.822  64
1 3 3  3.630  84
0 4 0  3.560  23
2 2 0  3.208  91
2 0 6  2.817  35
1 3 7  2.773  23
0 2 10  2.541  38
2 4 6  2.209  27
2 0 10  2.169  27
1 3 13  1.851  31


Record 10
Computed powder diffraction line list
Compound: CsK5Zn4Sn5S17
Radiation: Cu Kα
Structure: DFT lattice parameters and positions (GGA-PBE)
Kinematic intensities with the Lorentz-polarization factor, no thermal factor.

Cell and atoms:
```
data_CsK5Zn4Sn5S17
_space_group_name_H-M_alt 'I -4 m 2'
_space_group_IT_number 119
_space_group_name_Hall 'I -4 -2'
_cell_length_a 14.018
_cell_length_b 14.018
_cell_length_c 9.738
_cell_angle_alpha 90.00
_cell_angle_beta 90.00
_cell_angle_gamma 90.00
loop_
_atom_site_label
_atom_site_fract_x
_atom_site_fract_y
_atom_site_fract_z
Cs1 0.000 0.000 0.000
K1 0.000 0.500 0.250
K2 0.239 0.261 0.750
Zn1 0.000 0.363 0.889
Sn1 0.000 0.000 0.500
Sn2 0.000 0.276 0.527
S1 0.000 0.143 0.357
S2 0.000 0.220 0.760
S3 0.000 0.500 0.750
S4 0.136 0.358 0.031
```

Main lines, low angle first (10 to 90 degrees two-theta):
(hkl)  d [Å]  I/Imax
1 0 1  7.998  100
2 0 0  7.009  39
0 0 2  4.869  33
3 1 0  4.433  46
3 2 1  3.611  36
4 0 0  3.505  53
3 1 2  3.278  94
4 1 1  3.210  32
4 2 2  2.636  31
5 2 1  2.515  37
4 4 4  1.737  42
7 3 2  1.722  40


Record 11
Computed powder diffraction line list
Compound: CsK2V2S7
Radiation: Cu Kα
Structure: DFT lattice parameters and positions (GGA-PBE)
Kinematic intensities with the Lorentz-polarization factor, no thermal factor.

Cell and atoms:
```
data_CsK2V2S7
_space_group_name_H-M_alt 'R 3 2'
_space_group_IT_number 155
_space_group_name_Hall 'R 3 2"'
_cell_length_a 6.6043
_cell_length_b 6.6043
_cell_length_c 34.1160
_cell_angle_alpha 90.00
_cell_angle_beta 90.00
_cell_angle_gamma 120.00
loop_
_atom_site_label
_atom_site_fract_x
_atom_site_fract_y
_atom_site_fract_z
Cs1 0.0000 0.0000 0.0000
K1 0.0000 0.0000 0.1884
V1 0.0000 0.0000 0.4346
S1 0.0000 0.0000 0.5000
S2 0.0087 0.3084 0.5854
```

Main lines, low angle first (10 to 90 degrees two-theta):
(hkl)  d [Å]  I/Imax
0 1 2  5.423  100
1 0 4  4.750  40
0 1 5  4.383  95
1 0 7  3.710  33
1 1 0  3.302  75
1 0 10  2.930  20
1 1 6  2.855  95
0 0 12  2.843  26
1 1 9  2.490  21
1 0 16  1.998  19
3 0 0  1.907  42
0 3 12  1.584  33


Record 12
Computed powder diffraction line list
Compound: Cs2KZr3S8
Radiation: Cu Kα
Structure: DFT lattice parameters and positions (GGA-PBE)
Kinematic intensities with the Lorentz-polarization factor, no thermal factor.

Cell and atoms:
```
data_Cs2KZr3S8
_space_group_name_H-M_alt 'R 3 m'
_space_group_IT_number 160
_space_group_name_Hall 'R 3 -2"'
_cell_length_a 7.7039
_cell_length_b 7.7039
_cell_length_c 24.9256
_cell_angle_alpha 90.00
_cell_angle_beta 90.00
_cell_angle_gamma 120.00
loop_
_atom_site_label
_atom_site_fract_x
_atom_site_fract_y
_atom_site_fract_z
Cs1 0.0000 0.0000 0.0000
Cs2 0.0000 0.0000 0.3549
K1 0.0000 0.0000 0.6325
Zr1 0.0002 0.5001 0.4985
S1 0.0000 0.0000 0.2224
S2 0.0000 0.0000 0.7717
S3 0.0233 0.5117 0.7772
S4 0.1792 0.3584 0.5557
```

Main lines, low angle first (10 to 90 degrees two-theta):
(hkl)  d [Å]  I/Imax
1 0 1  6.445  35
0 0 6  4.154  24
0 1 5  3.993  35
1 1 0  3.852  20
1 1 3  3.495  100
0 2 4  2.941  48
0 2 7  2.434  40
2 0 8  2.277  36
1 2 5  2.250  33
0 3 3  2.147  38
2 2 0  1.926  43
4 1 3  1.434  20